(1)
Computed powder XRD pattern of Ca3Zn7Pt4 for Cu Kα (λ = 1.5418 Å), from the GGA-PBE geometry in Alexandria.
Neutral-atom scattering factors, no anomalous dispersion.

Crystal structure
abc: 8.123 8.123 9.450
angles: 123.55 123.55 30.88
Fractional coordinates of all 14 atoms:
Ca 0.000 0.000 0.000
Ca 0.302 0.302 0.297
Ca 0.698 0.698 0.703
Zn 0.000 0.000 0.500
Zn 0.147 0.147 0.420
Zn 0.321 0.321 0.974
Zn 0.497 0.497 0.709
Zn 0.503 0.503 0.291
Zn 0.679 0.679 0.026
Zn 0.853 0.853 0.580
Pt 0.116 0.116 0.830
Pt 0.334 0.334 0.713
Pt 0.666 0.666 0.287
Pt 0.884 0.884 0.170

Most intense lines, 10 to 90 degrees two-theta, by angle:
18.8 deg, I = 753
22.6 deg, I = 702
23.1 deg, I = 570
26.4 deg, I = 846
35.3 deg, I = 704
35.5 deg, I = 786
40.9 deg, I = 626
41.8 deg, I = 1000
44.0 deg, I = 512
44.8 deg, I = 771

---

(2)
Computed powder XRD pattern of TmSi3Pd3 for Cu Kα (λ = 1.5418 Å), from the GGA-PBE geometry in Alexandria.
Neutral-atom scattering factors, no anomalous dispersion.

Crystal structure
abc: 8.978 8.978 3.950
angles: 90.00 90.00 120.00
Fractional coordinates of all 14 atoms:
Tm 0.333 0.667 0.250
Tm 0.667 0.333 0.750
Si 0.046 0.610 0.750
Si 0.390 0.436 0.750
Si 0.436 0.046 0.250
Si 0.564 0.954 0.750
Si 0.610 0.564 0.250
Si 0.954 0.390 0.250
Pd 0.100 0.368 0.750
Pd 0.268 0.900 0.750
Pd 0.368 0.268 0.250
Pd 0.632 0.732 0.750
Pd 0.732 0.100 0.250
Pd 0.900 0.632 0.250

Most intense lines, 10 to 90 degrees two-theta, by angle:
11.4 deg, I = 553
30.1 deg, I = 219
30.4 deg, I = 198
32.3 deg, I = 1000
34.6 deg, I = 279
38.2 deg, I = 369
41.9 deg, I = 186
45.9 deg, I = 179
48.1 deg, I = 215
56.6 deg, I = 268